(1)
Structure and computed PXRD pattern of GeAsW (a DFT-relaxed cell (PBE, the Materials Project); copper Kα).
Lines closer than 0.1° are merged.

The 6 most intense peaks (2θ = 10–80°), by angle:
two_theta  I_rel  hkl
19.19  57  2 0 -1
34.41  100  1 1 1
41.09  47  3 1 -2
43.33  53  3 1 0
43.70  49  1 1 2
46.61  39  3 1 -3

```
data_GeAsW
_chemical_formula_sum 'Ge4 As4 W4'
_space_group_name_H-M_alt 'C 1 2/m 1'
_space_group_IT_number 12
_space_group_name_Hall '-C 2y'
_cell_length_a 9.314
_cell_length_b 3.319
_cell_length_c 7.721
_cell_angle_alpha 90.00
_cell_angle_beta 120.09
_cell_angle_gamma 90.00
loop_
_atom_site_label
_atom_site_type_symbol
_atom_site_fract_x
_atom_site_fract_y
_atom_site_fract_z
Ge1 Ge 0.104 0.000 0.396
As1 As 0.144 0.500 0.034
W1 W 0.154 0.500 0.700
```


(2)
Structure and computed PXRD pattern of ZrGeAs (a DFT-relaxed cell (PBE, the Materials Project); copper Kα).
Lines closer than 0.1° are merged.

The 6 most intense peaks (2θ = 10–80°), by angle:
two_theta  I_rel  hkl
31.38  40  1 0 3
33.82  32  1 1 2
36.33  73  2 1 0
37.60  35  2 1 1
40.17  100  1 1 3
44.68  38  3 0 2

```
data_ZrGeAs
_chemical_formula_sum 'Zr4 Ge4 As4'
_space_group_name_H-M_alt 'P n m a'
_space_group_IT_number 62
_space_group_name_Hall '-P 2ac 2n'
_cell_length_a 6.739
_cell_length_b 3.641
_cell_length_c 9.439
_cell_angle_alpha 90.00
_cell_angle_beta 90.00
_cell_angle_gamma 90.00
loop_
_atom_site_label
_atom_site_type_symbol
_atom_site_fract_x
_atom_site_fract_y
_atom_site_fract_z
Zr1 Zr 0.225 0.250 0.162
Ge1 Ge 0.123 0.250 0.456
As1 As 0.103 0.250 0.854
```


(3)
Structure and computed PXRD pattern of Hg3As2H2O8 (a DFT-relaxed cell (PBE, the Materials Project); copper Kα).
Lines closer than 0.1° are merged.

The 6 most intense peaks (2θ = 10–80°), by angle:
two_theta  I_rel  hkl
16.46  33  2 0 0
24.37  100  2 2 -1
26.31  38  2 2 0
26.60  73  4 0 -2
32.26  65  1 1 -3
34.87  41  3 1 1

```
data_Hg3As2H2O8
_chemical_formula_sum 'Hg12 As8 H8 O32'
_space_group_name_H-M_alt 'C 1 2/c 1'
_space_group_IT_number 15
_space_group_name_Hall '-C 2yc'
_cell_length_a 13.501
_cell_length_b 8.713
_cell_length_c 9.653
_cell_angle_alpha 90.00
_cell_angle_beta 127.07
_cell_angle_gamma 90.00
loop_
_atom_site_label
_atom_site_type_symbol
_atom_site_fract_x
_atom_site_fract_y
_atom_site_fract_z
Hg1 Hg 0.000 0.236 0.250
Hg2 Hg 0.072 0.348 0.919
As1 As 0.198 0.072 0.632
H1 H 0.148 0.043 0.828
O1 O 0.107 0.019 0.697
O2 O 0.134 0.244 0.518
O3 O 0.152 0.386 0.192
O4 O 0.197 0.072 0.012
```


(4)
Structure and computed PXRD pattern of KInAs3H7O13 (a DFT-relaxed cell (PBE, the Materials Project); copper Kα).
Lines closer than 0.1° are merged.

The 6 most intense peaks (2θ = 10–80°), by angle:
two_theta  I_rel  hkl
11.77  100  0 1 1
15.96  23  0 1 2
24.97  46  1 1 -3
26.99  31  1 1 2
27.14  44  1 0 -4
32.30  37  1 2 2

```
data_KInAs3H7O13
_chemical_formula_sum 'K2 In2 As6 H14 O26'
_space_group_name_H-M_alt 'P 1 c 1'
_space_group_IT_number 7
_space_group_name_Hall 'P -2yc'
_cell_length_a 4.923
_cell_length_b 8.843
_cell_length_c 14.761
_cell_angle_alpha 90.00
_cell_angle_beta 104.91
_cell_angle_gamma 90.00
loop_
_atom_site_label
_atom_site_type_symbol
_atom_site_fract_x
_atom_site_fract_y
_atom_site_fract_z
K1 K 0.000 0.006 0.000
In1 In 0.856 0.229 0.757
As1 As 0.252 0.358 0.607
As2 As 0.361 0.042 0.263
As3 As 0.461 0.346 0.913
H1 H 0.030 0.230 0.206
H2 H 0.281 0.338 0.039
H3 H 0.435 0.324 0.481
H4 H 0.682 0.232 0.318
H5 H 0.718 0.416 0.221
H6 H 0.825 0.498 0.001
H7 H 0.997 0.413 0.299
O1 O 0.023 0.232 0.636
O2 O 0.098 0.475 0.064
O3 O 0.151 0.161 0.177
O4 O 0.160 0.053 0.823
O5 O 0.165 0.400 0.830
O6 O 0.329 0.254 0.513
O7 O 0.383 0.258 0.009
O8 O 0.553 0.051 0.701
O9 O 0.556 0.401 0.690
O10 O 0.574 0.160 0.350
O11 O 0.624 0.482 0.453
O12 O 0.695 0.226 0.883
O13 O 0.855 0.344 0.261
```


(5)
Structure and computed PXRD pattern of InAsH2O5 (a DFT-relaxed cell (PBE, the Materials Project); copper Kα).
Lines closer than 0.1° are merged.

The 6 most intense peaks (2θ = 10–80°), by angle:
two_theta  I_rel  hkl
16.70  46  1 0 0
19.39  100  1 -1 0
26.57  92  0 0 2
26.99  38  1 1 0
27.81  40  1 1 -1
32.55  59  2 -1 0

```
data_InAsH2O5
_chemical_formula_sum 'In2 As2 H4 O10'
_space_group_name_H-M_alt 'P -1'
_space_group_IT_number 2
_space_group_name_Hall '-P 1'
_cell_length_a 5.609
_cell_length_b 5.760
_cell_length_c 6.832
_cell_angle_alpha 98.16
_cell_angle_beta 94.41
_cell_angle_gamma 107.46
loop_
_atom_site_label
_atom_site_type_symbol
_atom_site_fract_x
_atom_site_fract_y
_atom_site_fract_z
In1 In 0.132 0.229 0.219
As1 As 0.238 0.379 0.741
H1 H 0.384 0.862 0.262
H2 H 0.430 0.879 0.779
O1 O 0.054 0.262 0.519
O2 O 0.144 0.150 0.889
O3 O 0.189 0.646 0.852
O4 O 0.413 0.043 0.277
O5 O 0.443 0.571 0.262
```